# 1
Structure and theoretical X-ray powder pattern of CsNa2LiPd (a crystal structure in Alexandria, relaxed with GGA-PBE; Cu Kα, 1.54184 Å).
Peak positions follow from Bragg's law for the DFT cell and can differ from measured ones.

Atomic structure:
Cell lengths 5.809, 5.809, 5.197 Å; angles 90.00, 90.00, 90.00 degrees
Positions (direct):
Cs 0.000 0.000 0.000
Na 0.000 0.500 0.500
Na 0.500 0.000 0.500
Li 0.500 0.500 0.000
Pd 0.500 0.500 0.500

Peak list (6 most intense, 2θ = 15–90°, by intensity)
- 22.96°, rel. 100
- 38.75°, rel. 50
- 21.64°, rel. 40
- 30.79°, rel. 37
- 46.92°, rel. 23
- 41.11°, rel. 15

# 2
Structure and theoretical X-ray powder pattern of Cs2LiNbS4 (a crystal structure in Alexandria, relaxed with GGA-PBE; Cu Kα, 1.54184 Å).
Peak positions follow from Bragg's law for the DFT cell and can differ from measured ones.

Atomic structure:
Cell lengths 7.024, 7.480, 10.021 Å; angles 97.39, 93.09, 90.26 degrees
Positions (direct):
Cs 0.141 0.201 0.154
Cs 0.297 0.759 0.512
Cs 0.703 0.241 0.488
Cs 0.859 0.799 0.846
Li 0.400 0.667 0.076
Li 0.600 0.333 0.924
Nb 0.218 0.298 0.750
Nb 0.782 0.702 0.250
S 0.084 0.701 0.173
S 0.204 0.260 0.520
S 0.386 0.562 0.829
S 0.389 0.072 0.830
S 0.611 0.928 0.170
S 0.614 0.438 0.171
S 0.796 0.740 0.480
S 0.916 0.299 0.827

Peak list (6 most intense, 2θ = 15–90°, by intensity)
- 26.96°, rel. 100
- 23.99°, rel. 99
- 23.44°, rel. 82
- 26.49°, rel. 59
- 31.23°, rel. 47
- 25.59°, rel. 46

# 3
Structure and theoretical X-ray powder pattern of CsLiNdS2 (a crystal structure in Alexandria, relaxed with GGA-PBE; Cu Kα, 1.54184 Å).
Peak positions follow from Bragg's law for the DFT cell and can differ from measured ones.

Atomic structure:
Cell lengths 9.147, 9.147, 5.207 Å; angles 90.00, 90.00, 126.32 degrees
Positions (direct):
Cs 0.250 0.750 0.825
Cs 0.750 0.250 0.175
Li 0.000 0.000 0.000
Li 0.500 0.500 0.000
Nd 0.250 0.250 0.500
Nd 0.750 0.750 0.500
S 0.102 0.898 0.336
S 0.398 0.602 0.336
S 0.602 0.398 0.664
S 0.898 0.102 0.664

Peak list (6 most intense, 2θ = 15–90°, by intensity)
- 20.23°, rel. 100
- 24.15°, rel. 93
- 26.03°, rel. 74
- 35.40°, rel. 62
- 21.78°, rel. 47
- 39.67°, rel. 41